# AlSi4O10
Theoretical X-ray powder pattern, copper Kα. Input: a crystal structure in Alexandria, relaxed with GGA-PBE.
Kinematic intensities with the Lorentz-polarization factor, no thermal factor.

Atomic structure:
abc: 7.681 7.681 5.064
angles: 90.76 90.76 48.05
Element x y z (fractional)
Al 0.000 0.000 0.000
Si 0.197 0.508 0.275
Si 0.492 0.803 0.725
Si 0.494 0.211 0.761
Si 0.789 0.506 0.239
O 0.093 0.763 0.192
O 0.237 0.907 0.808
O 0.354 0.318 0.039
O 0.360 0.418 0.540
O 0.487 0.014 0.658
O 0.582 0.640 0.460
O 0.682 0.646 0.961
O 0.760 0.098 0.804
O 0.902 0.240 0.196
O 0.986 0.513 0.342

Largest 10 diffraction maxima, low angle first, 10° ≤ 2θ ≤ 80°:
| d (Å) | two_theta | intensity |
| --- | --- | --- |
| 5.713 | 15.5 | 10 |
| 3.800 | 23.4 | 96 |
| 3.778 | 23.5 | 70 |
| 3.745 | 23.8 | 100 |
| 3.507 | 25.4 | 20 |
| 2.994 | 29.8 | 19 |
| 2.128 | 42.5 | 18 |
| 2.111 | 42.8 | 13 |
| 1.968 | 46.1 | 14 |
| 1.526 | 60.7 | 11 |

***

# AlSiO
Theoretical X-ray powder pattern, copper Kα. Input: a crystal structure in Alexandria, relaxed with GGA-PBE.
Kinematic intensities with the Lorentz-polarization factor, no thermal factor.

Atomic structure:
abc: 7.383 7.383 3.783
angles: 90.00 90.00 156.88
Element x y z (fractional)
Al 0.193 0.807 0.750
Al 0.807 0.193 0.250
Si 0.454 0.546 0.250
Si 0.546 0.454 0.750
O 0.221 0.779 0.250
O 0.779 0.221 0.750

Largest 10 diffraction maxima, low angle first, 10° ≤ 2θ ≤ 80°:
| d (Å) | two_theta | intensity |
| --- | --- | --- |
| 7.233 | 12.2 | 43 |
| 3.617 | 24.6 | 43 |
| 3.352 | 26.6 | 65 |
| 2.522 | 35.6 | 100 |
| 2.099 | 43.1 | 20 |
| 2.069 | 43.8 | 26 |
| 2.033 | 44.6 | 27 |
| 1.891 | 48.1 | 39 |
| 1.815 | 50.3 | 51 |
| 1.513 | 61.3 | 37 |

***

# AlSi3O8
Theoretical X-ray powder pattern, copper Kα. Input: a crystal structure in Alexandria, relaxed with GGA-PBE.
Kinematic intensities with the Lorentz-polarization factor, no thermal factor.

Atomic structure:
abc: 5.151 9.158 9.158
angles: 86.27 90.00 90.00
Element x y z (fractional)
Al 0.000 0.000 0.000
Al 0.500 0.500 0.500
Si 0.000 0.654 0.654
Si 0.105 0.000 0.646
Si 0.395 0.500 0.146
Si 0.500 0.154 0.154
Si 0.605 0.146 0.500
Si 0.895 0.646 0.000
O 0.063 0.827 0.622
O 0.065 0.032 0.814
O 0.099 0.541 0.094
O 0.243 0.555 0.608
O 0.257 0.055 0.108
O 0.401 0.041 0.594
O 0.435 0.532 0.314
O 0.437 0.327 0.122
O 0.563 0.122 0.327
O 0.565 0.314 0.532
O 0.599 0.594 0.041
O 0.743 0.108 0.055
O 0.757 0.608 0.555
O 0.901 0.094 0.541
O 0.935 0.814 0.032
O 0.937 0.622 0.827

Largest 10 diffraction maxima, low angle first, 10° ≤ 2θ ≤ 80°:
| d (Å) | two_theta | intensity |
| --- | --- | --- |
| 6.683 | 13.2 | 19 |
| 6.262 | 14.1 | 9 |
| 4.569 | 19.4 | 100 |
| 4.487 | 19.8 | 80 |
| 3.978 | 22.3 | 11 |
| 3.418 | 26.1 | 17 |
| 3.254 | 27.4 | 15 |
| 2.948 | 30.3 | 9 |
| 2.622 | 34.2 | 17 |
| 2.088 | 43.3 | 9 |

***

# Sr2Al2SiO7
Theoretical X-ray powder pattern, copper Kα. Input: a crystal structure in Alexandria, relaxed with GGA-PBE.
Kinematic intensities with the Lorentz-polarization factor, no thermal factor.

Atomic structure:
abc: 5.328 7.909 7.921
angles: 90.00 90.38 90.00
Element x y z (fractional)
Sr 0.005 0.000 0.402
Sr 0.017 0.323 0.077
Sr 0.983 0.823 0.923
Sr 0.995 0.500 0.598
Al 0.468 0.525 0.892
Al 0.499 0.666 0.253
Al 0.501 0.166 0.747
Al 0.532 0.025 0.108
Si 0.458 0.808 0.609
Si 0.542 0.308 0.391
O 0.207 0.023 0.112
O 0.239 0.307 0.396
O 0.315 0.335 0.822
O 0.319 0.581 0.086
O 0.320 0.748 0.428
O 0.328 0.994 0.653
O 0.338 0.679 0.750
O 0.662 0.179 0.250
O 0.672 0.494 0.347
O 0.680 0.248 0.572
O 0.681 0.081 0.914
O 0.685 0.835 0.178
O 0.761 0.807 0.604
O 0.793 0.523 0.888

Largest 10 diffraction maxima, low angle first, 10° ≤ 2θ ≤ 80°:
| d (Å) | two_theta | intensity |
| --- | --- | --- |
| 3.173 | 28.1 | 29 |
| 2.954 | 30.3 | 96 |
| 2.942 | 30.4 | 100 |
| 2.664 | 33.6 | 17 |
| 2.503 | 35.9 | 31 |
| 2.133 | 42.4 | 19 |
| 2.124 | 42.6 | 20 |
| 1.866 | 48.8 | 21 |
| 1.820 | 50.1 | 20 |
| 1.416 | 66.0 | 21 |

***

# AlTlSiO4
Theoretical X-ray powder pattern, copper Kα. Input: a crystal structure in Alexandria, relaxed with GGA-PBE.
Kinematic intensities with the Lorentz-polarization factor, no thermal factor.

Atomic structure:
abc: 8.455 5.459 9.597
angles: 90.00 90.00 90.00
Element x y z (fractional)
Al 0.187 0.250 0.091
Al 0.313 0.750 0.591
Al 0.687 0.250 0.409
Al 0.813 0.750 0.909
Tl 0.012 0.750 0.322
Tl 0.488 0.250 0.822
Tl 0.512 0.750 0.178
Tl 0.988 0.250 0.678
Si 0.206 0.750 0.928
Si 0.294 0.250 0.428
Si 0.706 0.750 0.572
Si 0.794 0.250 0.072
O 0.016 0.750 0.931
O 0.222 0.007 0.510
O 0.222 0.493 0.510
O 0.226 0.250 0.269
O 0.274 0.750 0.769
O 0.278 0.507 0.010
O 0.278 0.993 0.010
O 0.484 0.250 0.431
O 0.516 0.750 0.569
O 0.722 0.007 0.990
O 0.722 0.493 0.990
O 0.726 0.250 0.231
O 0.774 0.750 0.731
O 0.778 0.507 0.490
O 0.778 0.993 0.490
O 0.984 0.250 0.069

Largest 10 diffraction maxima, low angle first, 10° ≤ 2θ ≤ 80°:
| d (Å) | two_theta | intensity |
| --- | --- | --- |
| 6.344 | 14.0 | 21 |
| 4.745 | 18.7 | 47 |
| 3.315 | 26.9 | 90 |
| 3.172 | 28.1 | 26 |
| 3.157 | 28.3 | 100 |
| 2.992 | 29.9 | 38 |
| 2.730 | 32.8 | 26 |
| 2.126 | 42.5 | 20 |
| 2.114 | 42.8 | 29 |
| 2.017 | 45.0 | 28 |

***

# AlTlSiO4
Theoretical X-ray powder pattern, copper Kα. Input: a crystal structure in Alexandria, relaxed with GGA-PBE.
Kinematic intensities with the Lorentz-polarization factor, no thermal factor.

Atomic structure:
abc: 9.115 9.115 9.115
angles: 90.44 90.44 90.44
Element x y z (fractional)
Al 0.080 0.832 0.588
Al 0.088 0.332 0.580
Al 0.332 0.580 0.088
Al 0.580 0.088 0.332
Al 0.588 0.080 0.832
Al 0.832 0.588 0.080
Tl 0.233 0.930 0.237
Tl 0.237 0.233 0.930
Tl 0.430 0.733 0.737
Tl 0.733 0.737 0.430
Tl 0.737 0.430 0.733
Tl 0.930 0.237 0.233
Si 0.082 0.582 0.334
Si 0.082 0.582 0.834
Si 0.334 0.082 0.582
Si 0.582 0.334 0.082
Si 0.582 0.834 0.082
Si 0.834 0.082 0.582
O 0.029 0.722 0.435
O 0.033 0.439 0.731
O 0.128 0.439 0.428
O 0.139 0.720 0.734
O 0.220 0.639 0.234
O 0.222 0.529 0.935
O 0.231 0.939 0.533
O 0.234 0.220 0.639
O 0.428 0.128 0.439
O 0.435 0.029 0.722
O 0.439 0.428 0.128
O 0.439 0.731 0.033
O 0.529 0.935 0.222
O 0.533 0.231 0.939
O 0.628 0.928 0.939
O 0.639 0.234 0.220
O 0.720 0.734 0.139
O 0.722 0.435 0.029
O 0.731 0.033 0.439
O 0.734 0.139 0.720
O 0.928 0.939 0.628
O 0.935 0.222 0.529
O 0.939 0.533 0.231
O 0.939 0.628 0.928

Largest 10 diffraction maxima, low angle first, 10° ≤ 2θ ≤ 80°:
| d (Å) | two_theta | intensity |
| --- | --- | --- |
| 6.420 | 13.8 | 53 |
| 4.557 | 19.5 | 15 |
| 3.731 | 23.8 | 100 |
| 3.697 | 24.1 | 33 |
| 2.889 | 31.0 | 45 |
| 2.876 | 31.1 | 27 |
| 2.435 | 36.9 | 26 |
| 2.156 | 41.9 | 18 |
| 2.140 | 42.2 | 35 |
| 1.567 | 58.9 | 17 |